Record 1
Diffraction record for NbClF8. The powder diffractogram is calculated, not measured: it uses DFT lattice parameters and positions (PBE) and Cu Kα.
No peak broadening, texture or thermal motion is included.

Peak list (10 most intense, 10 to 90 degrees two-theta, low angle first)
2θ = 17.9°, I = 394
2θ = 20.9°, I = 605
2θ = 24.2°, I = 987
2θ = 25.3°, I = 1000
2θ = 26.6°, I = 990
2θ = 39.3°, I = 381
2θ = 44.8°, I = 299
2θ = 45.4°, I = 303
2θ = 46.8°, I = 306
2θ = 52.8°, I = 336

Crystal structure
Cell: 9.1473 5.4905 9.8870 Å, 90.00 90.00 90.00°
Element x y z (fractional)
Nb 0.0000 0.0902 0.2500
Nb 0.0000 0.9098 0.7500
Nb 0.5000 0.0902 0.7500
Nb 0.5000 0.9098 0.2500
Cl 0.2500 0.5000 0.0226
Cl 0.2500 0.5000 0.5226
Cl 0.7500 0.5000 0.4774
Cl 0.7500 0.5000 0.9774
F 0.1089 0.1091 0.4143
F 0.1089 0.8909 0.9143
F 0.1162 0.3704 0.1764
F 0.1162 0.6296 0.6764
F 0.1316 0.1378 0.6800
F 0.1316 0.8622 0.1800
F 0.1361 0.3896 0.9123
F 0.1361 0.6104 0.4123
F 0.3639 0.3896 0.4123
F 0.3639 0.6104 0.9123
F 0.3684 0.1378 0.1800
F 0.3684 0.8622 0.6800
F 0.3838 0.3704 0.6764
F 0.3838 0.6296 0.1764
F 0.3911 0.1091 0.9143
F 0.3911 0.8909 0.4143
F 0.6089 0.1091 0.5857
F 0.6089 0.8909 0.0857
F 0.6162 0.3704 0.8236
F 0.6162 0.6296 0.3236
F 0.6316 0.1378 0.3200
F 0.6316 0.8622 0.8200
F 0.6361 0.3896 0.0877
F 0.6361 0.6104 0.5877
F 0.8639 0.3896 0.5877
F 0.8639 0.6104 0.0877
F 0.8684 0.1378 0.8200
F 0.8684 0.8622 0.3200
F 0.8838 0.3704 0.3236
F 0.8838 0.6296 0.8236
F 0.8911 0.1091 0.0857
F 0.8911 0.8909 0.5857

Record 2
Diffraction record for SmDyNi8B2. The powder diffractogram is calculated, not measured: it uses DFT lattice parameters and positions (PBE) and Cu Kα.
No peak broadening, texture or thermal motion is included.

Peak list (10 most intense, 10 to 90 degrees two-theta, low angle first)
2θ = 33.0°, I = 876
2θ = 35.8°, I = 307
2θ = 41.6°, I = 750
2θ = 44.5°, I = 1000
2θ = 52.5°, I = 126
2θ = 62.6°, I = 277
2θ = 65.2°, I = 154
2θ = 69.2°, I = 143
2θ = 70.5°, I = 243
2θ = 76.0°, I = 212

Crystal structure
Cell: 5.0105 5.0105 6.9680 Å, 90.00 90.00 120.00°
Element x y z (fractional)
Sm 0.0000 0.0000 0.0000
Dy 0.0000 0.0000 0.5000
Ni 0.0000 0.5000 0.2935
Ni 0.0000 0.5000 0.7065
Ni 0.3333 0.6667 0.0000
Ni 0.5000 0.0000 0.2935
Ni 0.5000 0.0000 0.7065
Ni 0.5000 0.5000 0.2935
Ni 0.5000 0.5000 0.7065
Ni 0.6667 0.3333 0.0000
B 0.3333 0.6667 0.5000
B 0.6667 0.3333 0.5000

Record 3
Diffraction record for ErLu6Te2Ir2. The powder diffractogram is calculated, not measured: it uses DFT lattice parameters and positions (PBE) and Cu Kα.
No peak broadening, texture or thermal motion is included.

Peak list (10 most intense, 10 to 90 degrees two-theta, low angle first)
2θ = 11.5°, I = 258
2θ = 28.8°, I = 123
2θ = 30.5°, I = 555
2θ = 33.8°, I = 457
2θ = 34.1°, I = 1000
2θ = 34.7°, I = 407
2θ = 37.1°, I = 224
2θ = 38.9°, I = 250
2θ = 46.7°, I = 270
2θ = 58.8°, I = 245

Crystal structure
Cell: 9.2153 9.2153 9.2153 Å, 155.61 66.34 119.38°
Element x y z (fractional)
Er 0.0000 0.0000 0.0000
Lu 0.0555 0.3699 0.6856
Lu 0.0830 0.7304 0.3526
Lu 0.3778 0.7304 0.6474
Lu 0.4492 0.5819 0.8673
Lu 0.6844 0.3699 0.3144
Lu 0.7146 0.5819 0.1327
Te 0.3375 0.3375 0.0000
Te 0.7339 0.2339 0.5000
Ir 0.3091 0.0710 0.2381
Ir 0.8329 0.0710 0.7619

Record 4
Diffraction record for Sr9Cd4Bi9. The powder diffractogram is calculated, not measured: it uses DFT lattice parameters and positions (PBE) and Cu Kα.
No peak broadening, texture or thermal motion is included.

Peak list (10 most intense, 10 to 90 degrees two-theta, low angle first)
2θ = 22.2°, I = 611
2θ = 22.7°, I = 514
2θ = 23.0°, I = 832
2θ = 27.2°, I = 774
2θ = 27.8°, I = 539
2θ = 29.4°, I = 1000
2θ = 29.8°, I = 847
2θ = 32.4°, I = 475
2θ = 36.3°, I = 973
2θ = 38.0°, I = 579

Crystal structure
Cell: 13.3336 23.5768 4.9521 Å, 90.00 90.00 90.00°
Element x y z (fractional)
Sr 0.0000 0.0000 0.0000
Sr 0.0659 0.4111 0.5000
Sr 0.1245 0.2351 0.5000
Sr 0.1325 0.8649 0.5000
Sr 0.2081 0.6027 0.0000
Sr 0.2919 0.1027 0.0000
Sr 0.3675 0.3649 0.5000
Sr 0.3755 0.7351 0.5000
Sr 0.4341 0.9111 0.5000
Sr 0.5000 0.5000 0.0000
Sr 0.5659 0.0889 0.5000
Sr 0.6245 0.2649 0.5000
Sr 0.6325 0.6351 0.5000
Sr 0.7081 0.8973 0.0000
Sr 0.7919 0.3973 0.0000
Sr 0.8675 0.1351 0.5000
Sr 0.8755 0.7649 0.5000
Sr 0.9341 0.5889 0.5000
Cd 0.1140 0.7613 0.0000
Cd 0.2306 0.4543 0.0000
Cd 0.2694 0.9543 0.0000
Cd 0.3860 0.2613 0.0000
Cd 0.6140 0.7387 0.0000
Cd 0.7306 0.0457 0.0000
Cd 0.7694 0.5457 0.0000
Cd 0.8860 0.2387 0.0000
Bi 0.0000 0.5000 0.0000
Bi 0.0437 0.1452 0.0000
Bi 0.1175 0.6922 0.5000
Bi 0.1881 0.0112 0.5000
Bi 0.1879 0.3308 0.0000
Bi 0.3119 0.5112 0.5000
Bi 0.3121 0.8308 0.0000
Bi 0.3825 0.1922 0.5000
Bi 0.4563 0.6452 0.0000
Bi 0.5000 0.0000 0.0000
Bi 0.5437 0.3548 0.0000
Bi 0.6175 0.8078 0.5000
Bi 0.6879 0.1692 0.0000
Bi 0.6881 0.4888 0.5000
Bi 0.8121 0.6692 0.0000
Bi 0.8119 0.9888 0.5000
Bi 0.8825 0.3078 0.5000
Bi 0.9563 0.8548 0.0000

Record 5
Diffraction record for CsGdMgS3. The powder diffractogram is calculated, not measured: it uses DFT lattice parameters and positions (PBE) and Cu Kα.
No peak broadening, texture or thermal motion is included.

Peak list (10 most intense, 10 to 90 degrees two-theta, low angle first)
2θ = 11.3°, I = 255
2θ = 19.9°, I = 1000
2θ = 22.8°, I = 363
2θ = 27.5°, I = 359
2θ = 28.7°, I = 529
2θ = 32.1°, I = 265
2θ = 32.9°, I = 305
2θ = 33.3°, I = 220
2θ = 39.7°, I = 366
2θ = 40.4°, I = 251

Crystal structure
Cell: 8.0816 8.0816 10.8961 Å, 90.00 90.00 150.22°
Element x y z (fractional)
Cs 0.2405 0.7595 0.7500
Cs 0.7595 0.2405 0.2500
Gd 0.5000 0.5000 0.0000
Gd 0.5000 0.5000 0.5000
Mg 0.0362 0.9638 0.2500
Mg 0.9638 0.0362 0.7500
S 0.1123 0.8877 0.0581
S 0.1123 0.8877 0.4419
S 0.4491 0.5509 0.2500
S 0.5509 0.4491 0.7500
S 0.8877 0.1123 0.5581
S 0.8877 0.1123 0.9419